Record 1
This entry pairs a crystal structure of Ba2La3NdCu2O10 with its calculated PXRD pattern. Radiation: Cu Kα (weighted mean of Kα1 and Kα2). Structure: a PBE-relaxed structure.

Cell and atoms:
abc: 5.918 9.683 9.697
angles: 90.00 90.00 90.00
Space group Amm2 (No. 38)
Symmetry-distinct sites (fractional):
1 Ba 0.000 0.248 0.000 x4
2 La 0.500 0.000 0.575 x2
3 La 0.500 0.175 0.250 x4
4 Nd 0.500 0.000 0.925 x2
5 Cu 0.000 0.000 0.249 x2
6 Cu 0.000 0.000 0.752 x2
7 O 0.238 0.000 0.391 x4
8 O 0.240 0.000 0.108 x4
9 O 0.241 0.139 0.754 x8
10 O 0.500 0.248 0.001 x4

Largest 8 diffraction maxima, in order of falling intensity, 2θ from 10° to 80°:
2θ 30.16, I 100, hkl 2 0 0
2θ 32.91, I 39, hkl 1 1 3
2θ 42.47, I 29, hkl 2 1 3
2θ 37.11, I 17, hkl 0 4 0
2θ 48.57, I 15, hkl 2 4 0
2θ 53.61, I 15, hkl 3 2 2
2θ 29.14, I 14, hkl 0 1 3
2θ 41.68, I 14, hkl 0 4 2

Record 2
This entry pairs a crystal structure of HgH6I3NO with its calculated PXRD pattern. Radiation: Cu Kα (weighted mean of Kα1 and Kα2). Structure: a PBE-relaxed structure.

Cell and atoms:
abc: 11.196 9.636 9.047
angles: 90.00 91.88 90.00
Space group Cc (No. 9)
Symmetry-distinct sites (fractional):
1 Hg 0.000 0.032 0.000 x4
2 H 0.310 0.232 0.780 x4
3 H 0.323 0.132 0.934 x4
4 H 0.364 0.066 0.766 x4
5 H 0.428 0.150 0.219 x4
6 H 0.446 0.192 0.855 x4
7 H 0.476 0.037 0.113 x4
8 I 0.075 0.309 0.977 x4
9 I 0.153 0.196 0.468 x4
10 I 0.332 0.479 0.231 x4
11 N 0.359 0.155 0.833 x4
12 O 0.401 0.076 0.151 x4

Largest 8 diffraction maxima, in order of falling intensity, 2θ from 10° to 80°:
2θ 12.12, I 100, hkl 1 1 0
2θ 25.74, I 45, hkl 2 0 2
2θ 24.38, I 35, hkl 2 2 0
2θ 19.64, I 30, hkl 0 0 2
2θ 24.91, I 29, hkl 2 0 -2
2θ 28.92, I 25, hkl 1 3 0
2θ 15.83, I 22, hkl 2 0 0
2θ 41.87, I 19, hkl 4 2 -2

Record 3
This entry pairs a crystal structure of HoPaRu2 with its calculated PXRD pattern. Radiation: Cu Kα (weighted mean of Kα1 and Kα2). Structure: a PBE-relaxed structure.

Cell and atoms:
abc: 6.838 6.838 6.838
angles: 90.00 90.00 90.00
Space group Fm-3m (No. 225)
Symmetry-distinct sites (fractional):
1 Ho 0.000 0.000 0.000 x4
2 Pa 0.000 0.000 0.500 x4
3 Ru 0.250 0.250 0.250 x8

Largest 8 diffraction maxima, in order of falling intensity, 2θ from 10° to 80°:
2θ 37.19, I 100, hkl 2 2 0
2θ 67.05, I 36, hkl 4 2 2
2θ 53.61, I 18, hkl 4 0 0
2θ 26.06, I 11, hkl 2 0 0
2θ 79.24, I 11, hkl 4 4 0
2θ 60.55, I 5, hkl 4 2 0
2θ 45.97, I 4, hkl 2 2 2
2θ 22.52, I 3, hkl 1 1 1

Record 4
This entry pairs a crystal structure of Ca4Pt with its calculated PXRD pattern. Radiation: Cu Kα (weighted mean of Kα1 and Kα2). Structure: a PBE-relaxed structure.

Cell and atoms:
abc: 11.661 11.661 11.661
angles: 90.00 90.00 90.00
Space group Fd-3m (No. 227, origin choice 2)
Symmetry-distinct sites (fractional):
1 Ca 0.008 0.008 0.242 x32
2 Pt 0.125 0.125 0.625 x8

Largest 8 diffraction maxima, in order of falling intensity, 2θ from 10° to 80°:
2θ 21.55, I 100, hkl 2 2 0
2θ 13.15, I 79, hkl 1 1 1
2θ 25.33, I 62, hkl 3 1 1
2θ 43.92, I 51, hkl 4 4 0
2θ 37.80, I 46, hkl 4 2 2
2θ 33.50, I 44, hkl 3 3 1
2θ 40.18, I 33, hkl 5 1 1
2θ 26.48, I 32, hkl 2 2 2

Record 5
This entry pairs a crystal structure of MgMo6Se8 with its calculated PXRD pattern. Radiation: Cu Kα (weighted mean of Kα1 and Kα2). Structure: a PBE-relaxed structure.

Cell and atoms:
abc: 6.832 6.857 13.696
angles: 93.24 93.17 93.38
Space group P1 (No. 1)
Symmetry-distinct sites (fractional):
1 Mg 0.000 0.000 0.000 x1
2 Mg 0.158 0.834 0.504 x1
3 Mo 0.346 0.491 0.686 x1
4 Mo 0.347 0.491 0.185 x1
5 Mo 0.523 0.181 0.251 x1
6 Mo 0.525 0.176 0.750 x1
7 Mo 0.564 0.528 0.360 x1
8 Mo 0.564 0.530 0.858 x1
9 Mo 0.658 0.358 0.595 x1
10 Mo 0.658 0.363 0.094 x1
11 Mo 0.694 0.709 0.203 x1
12 Mo 0.695 0.712 0.704 x1
13 Mo 0.874 0.400 0.269 x1
14 Mo 0.876 0.396 0.770 x1
15 Se 0.239 0.322 0.344 x1
16 Se 0.240 0.316 0.842 x1
17 Se 0.324 0.163 0.586 x1
18 Se 0.332 0.160 0.084 x1
19 Se 0.378 0.816 0.291 x1
20 Se 0.379 0.815 0.789 x1
21 Se 0.487 0.675 0.041 x1
22 Se 0.495 0.679 0.541 x1
23 Se 0.733 0.211 0.912 x1
24 Se 0.734 0.215 0.412 x1
25 Se 0.843 0.074 0.664 x1
26 Se 0.844 0.072 0.168 x1
27 Se 0.890 0.733 0.367 x1
28 Se 0.901 0.727 0.866 x1
29 Se 0.982 0.569 0.611 x1
30 Se 0.982 0.571 0.109 x1

Largest 8 diffraction maxima, in order of falling intensity, 2θ from 10° to 80°:
2θ 12.98, I 100, hkl 1 0 0
2θ 43.74, I 41, hkl 1 3 -2
2θ 38.54, I 25, hkl 2 1 -4
2θ 48.97, I 22, hkl 2 2 4
2θ 41.80, I 21, hkl 2 1 4
2θ 43.82, I 21, hkl 3 -1 2
2θ 31.77, I 18, hkl -1 2 2
2θ 38.46, I 16, hkl 1 -2 4

Record 6
This entry pairs a crystal structure of KPrNbInO6 with its calculated PXRD pattern. Radiation: Cu Kα (weighted mean of Kα1 and Kα2). Structure: a PBE-relaxed structure.

Cell and atoms:
abc: 8.243 8.243 8.243
angles: 90.00 90.00 90.00
Space group F-43m (No. 216)
Symmetry-distinct sites (fractional):
1 K 0.000 0.000 0.000 x4
2 Pr 0.000 0.000 0.500 x4
3 Nb 0.250 0.250 0.750 x4
4 In 0.250 0.250 0.250 x4
5 O 0.008 0.250 0.750 x24

Largest 8 diffraction maxima, in order of falling intensity, 2θ from 10° to 80°:
2θ 30.68, I 100, hkl 2 2 0
2θ 54.54, I 39, hkl 4 2 2
2θ 43.94, I 33, hkl 4 0 0
2θ 63.88, I 20, hkl 4 4 0
2θ 18.64, I 17, hkl 1 1 1
2θ 72.53, I 17, hkl 6 2 0
2θ 36.14, I 11, hkl 3 1 1
2θ 48.12, I 5, hkl 3 3 1

Record 7
This entry pairs a crystal structure of Ti8Al4CN3 with its calculated PXRD pattern. Radiation: Cu Kα (weighted mean of Kα1 and Kα2). Structure: a PBE-relaxed structure.

Cell and atoms:
abc: 3.0170 3.0170 27.3117
angles: 90.00 90.00 120.00
Space group P-3m1 (No. 164)
Symmetry-distinct sites (fractional):
1 Ti 0.3333 0.6667 0.0425 x2
2 Ti 0.3333 0.6667 0.2074 x2
3 Ti 0.3333 0.6667 0.5426 x2
4 Ti 0.3333 0.6667 0.7080 x2
5 Al 0.3333 0.6667 0.3743 x2
6 Al 0.3333 0.6667 0.8750 x2
7 C 0.0000 0.0000 0.5000 x1
8 N 0.0000 0.0000 0.0000 x1
9 N 0.0000 0.0000 0.2500 x2

Largest 8 diffraction maxima, in order of falling intensity, 2θ from 10° to 80°:
2θ 39.78, I 100, hkl 1 0 6
2θ 12.97, I 30, hkl 0 0 4
2θ 61.47, I 20, hkl 1 1 0
2θ 53.39, I 18, hkl 1 0 12
2θ 39.60, I 18, hkl 0 0 12
2θ 34.32, I 16, hkl 1 0 0
2θ 71.97, I 15, hkl 0 1 18
2θ 75.63, I 15, hkl 1 1 12